1.
KGdFe4O12: theoretical powder X-ray diffraction pattern (CuKα), based on DFT lattice parameters and positions (GGA+U).

Structural model:
Lattice parameters (Å, degrees): 7.3760 7.3689 7.2730 90.00 90.00 90.00
Space group Amm2 (No. 38)
Asymmetric unit:
K 0.0000 0.0000 0.0000
Gd 0.5000 0.0000 0.4752
Fe 0.2392 0.2483 0.7388
O 0.0000 0.2218 0.7336
O 0.2369 0.0000 0.2835
O 0.2664 0.2317 0.9893
O 0.2963 0.0000 0.6962
O 0.5000 0.2124 0.2495

Largest 6 diffraction maxima, sorted by position, 10 to 90 degrees two-theta:
| index | two_theta | d [Å] | I_rel |
| --- | --- | --- | --- |
| 1 1 1 | 20.97 | 4.237 | 100 |
| 2 2 0 | 34.41 | 2.607 | 50 |
| 0 2 2 | 34.65 | 2.589 | 92 |
| 1 3 1 | 40.64 | 2.220 | 37 |
| 0 4 0 | 49.45 | 1.843 | 42 |
| 4 2 2 | 61.79 | 1.501 | 37 |

2.
KPrGdFeO6: theoretical powder X-ray diffraction pattern (CuKα), based on DFT lattice parameters and positions (GGA+U).

Structural model:
Lattice parameters (Å, degrees): 8.1499 8.1499 8.1499 90.00 90.00 90.00
Space group F-43m (No. 216)
Asymmetric unit:
K 0.0000 0.0000 0.0000
Pr 0.0000 0.0000 0.5000
Gd 0.2500 0.2500 0.2500
Fe 0.2500 0.2500 0.7500
O 0.0190 0.2500 0.7500

Largest 6 diffraction maxima, sorted by position, 10 to 90 degrees two-theta:
| index | two_theta | d [Å] | I_rel |
| --- | --- | --- | --- |
| 1 1 1 | 18.86 | 4.705 | 28 |
| 2 2 0 | 31.04 | 2.881 | 100 |
| 3 1 1 | 36.57 | 2.457 | 20 |
| 4 0 0 | 44.47 | 2.037 | 32 |
| 4 2 2 | 55.21 | 1.664 | 38 |
| 4 4 0 | 64.70 | 1.441 | 19 |